[1]
Theoretical X-ray powder pattern
Compound: Tm6MgSc2
Radiation: λ = 1.5418 Å (Cu Kα)
Structure: a structure optimized by DFT (GGA-PBE)
Kinematic intensities with the Lorentz-polarization factor, no thermal factor.

Structural model:
Lattice parameters (Å, degrees): 10.202 10.202 4.865 90.00 90.00 90.00
Sites, in units of the cell vectors:
Tm1 0.000 0.332 0.000
Tm2 0.000 0.668 0.000
Tm3 0.164 0.164 0.500
Tm4 0.168 0.500 0.500
Tm5 0.332 0.000 0.000
Tm6 0.336 0.664 0.000
Tm7 0.500 0.168 0.500
Tm8 0.500 0.832 0.500
Tm9 0.664 0.336 0.000
Tm10 0.668 0.000 0.000
Tm11 0.832 0.500 0.500
Tm12 0.836 0.836 0.500
Mg1 0.000 0.000 0.000
Mg2 0.500 0.500 0.500
Sc1 0.169 0.831 0.500
Sc2 0.331 0.331 0.000
Sc3 0.669 0.669 0.000
Sc4 0.831 0.169 0.500

Main lines, by angle (2θ from 10° to 90°):
Position (°2θ)  I/Imax
12.3  14
32.1  100
37.0  17
37.4  33
53.6  23
63.6  14
64.2  27
67.2  12

[2]
Theoretical X-ray powder pattern
Compound: AcPr5Ga4
Radiation: λ = 1.5418 Å (Cu Kα)
Structure: a structure optimized by DFT (GGA-PBE)
Kinematic intensities with the Lorentz-polarization factor, no thermal factor.

Structural model:
Lattice parameters (Å, degrees): 7.718 10.572 8.159 90.00 90.00 90.00
Sites, in units of the cell vectors:
Ac1 0.250 0.250 0.243
Ac2 0.750 0.750 0.757
Pr1 0.005 0.057 0.781
Pr2 0.005 0.443 0.781
Pr3 0.250 0.750 0.600
Pr4 0.495 0.057 0.781
Pr5 0.495 0.443 0.781
Pr6 0.505 0.557 0.219
Pr7 0.505 0.943 0.219
Pr8 0.750 0.250 0.400
Pr9 0.995 0.557 0.219
Pr10 0.995 0.943 0.219
Ga1 0.087 0.750 0.954
Ga2 0.250 0.025 0.494
Ga3 0.250 0.475 0.494
Ga4 0.413 0.750 0.954
Ga5 0.587 0.250 0.046
Ga6 0.750 0.525 0.506
Ga7 0.750 0.975 0.506
Ga8 0.913 0.250 0.046

Main lines, by angle (2θ from 10° to 90°):
Position (°2θ)  I/Imax
25.5  31
26.1  30
26.9  66
27.6  100
28.6  42
36.3  84
50.5  36
55.4  23

[3]
Theoretical X-ray powder pattern
Compound: Y3Mg7
Radiation: λ = 1.5418 Å (Cu Kα)
Structure: a structure optimized by DFT (GGA-PBE)
Kinematic intensities with the Lorentz-polarization factor, no thermal factor.

Structural model:
Lattice parameters (Å, degrees): 8.657 8.657 6.498 109.51 109.51 34.22
Sites, in units of the cell vectors:
Y1 0.000 0.000 0.000
Y2 0.205 0.205 0.792
Y3 0.795 0.795 0.208
Mg1 0.000 0.000 0.500
Mg2 0.199 0.199 0.298
Mg3 0.393 0.393 0.618
Mg4 0.408 0.408 0.136
Mg5 0.592 0.592 0.864
Mg6 0.607 0.607 0.382
Mg7 0.801 0.801 0.702

Main lines, by angle (2θ from 10° to 90°):
Position (°2θ)  I/Imax
18.3  23
22.5  26
24.7  44
33.5  100
33.8  99
35.2  89
45.9  19
50.7  30